Record 1
Computed X-ray powder pattern of K2Pu3O9 for λ = 1.5418 Å (Cu Kα), from a structure optimized by DFT (PBE).

Top 10 peaks for 10 to 90 degrees two-theta, most intense first:
2θ (°)	I (rel.)
14.5	100
21.7	36
26.1	32
26.4	30
27.5	23
26.9	21
29.3	21
33.7	18
41.6	16
35.0	15

Structural model:
Cell: 7.809 8.111 8.886 Å, 105.39 103.69 100.21°
Positions (direct):
K: 0.033 0.010 0.244
K: 0.367 0.391 0.737
K: 0.633 0.609 0.263
K: 0.967 0.990 0.756
Pu: 0.000 0.500 0.000
Pu: 0.164 0.664 0.493
Pu: 0.339 0.831 0.997
Pu: 0.500 0.000 0.500
Pu: 0.661 0.169 0.003
Pu: 0.836 0.336 0.507
O: 0.027 0.731 0.964
O: 0.031 0.634 0.249
O: 0.076 0.366 0.465
O: 0.259 0.978 0.535
O: 0.289 0.710 0.744
O: 0.316 0.598 0.029
O: 0.354 0.061 0.962
O: 0.375 0.949 0.248
O: 0.404 0.700 0.455
O: 0.596 0.300 0.545
O: 0.625 0.051 0.752
O: 0.646 0.939 0.038
O: 0.684 0.402 0.971
O: 0.711 0.290 0.256
O: 0.741 0.022 0.465
O: 0.924 0.634 0.535
O: 0.969 0.366 0.751
O: 0.973 0.269 0.036

Record 2
Computed X-ray powder pattern of Y8Cu2Ru for λ = 1.5418 Å (Cu Kα), from a structure optimized by DFT (PBE).

Top 10 peaks for 10 to 90 degrees two-theta, most intense first:
2θ (°)	I (rel.)
34.9	100
31.7	90
31.9	76
34.8	65
30.0	53
37.0	42
32.2	37
62.5	35
32.8	24
40.6	21

Structural model:
Cell: 9.029 9.029 6.733 Å, 106.85 106.85 33.05°
Positions (direct):
Y: 0.033 0.033 0.296
Y: 0.198 0.198 0.821
Y: 0.333 0.333 0.523
Y: 0.409 0.409 0.061
Y: 0.591 0.591 0.939
Y: 0.667 0.667 0.477
Y: 0.802 0.802 0.179
Y: 0.967 0.967 0.704
Cu: 0.183 0.183 0.217
Cu: 0.817 0.817 0.783
Ru: 0.500 0.500 0.500